Entry 1:
Zn3Ga3Ag5: theoretical PXRD pattern (Cu Kα, 1.54184 Å), based on the GGA-PBE geometry in Alexandria.
No peak broadening, texture or thermal motion is included.

Main lines, in order of rising 2θ (10 to 90 degrees two-theta):
| 2θ (°) | I_rel |
| --- | --- |
| 30.06 | 33 |
| 31.85 | 36 |
| 34.20 | 100 |
| 37.65 | 80 |
| 39.70 | 30 |
| 41.39 | 56 |
| 44.37 | 44 |
| 47.43 | 34 |
| 51.77 | 54 |
| 80.93 | 31 |

Atomic structure:
a b c (Å): 9.0821 9.0821 2.8093
angles (deg): 90.00 90.00 120.00
Fractional positions:
Zn 0.0000 0.8365 0.0000
Zn 0.1635 0.1635 0.0000
Zn 0.8365 0.0000 0.0000
Ga 0.0000 0.5919 0.5000
Ga 0.4081 0.4081 0.5000
Ga 0.5919 0.0000 0.5000
Ag 0.0000 0.3386 0.0000
Ag 0.3333 0.6667 0.0000
Ag 0.3386 0.0000 0.0000
Ag 0.6614 0.6614 0.0000
Ag 0.6667 0.3333 0.0000

***

Entry 2:
Sr2AgCl6: theoretical PXRD pattern (Cu Kα, 1.54184 Å), based on the GGA-PBE geometry in Alexandria.
No peak broadening, texture or thermal motion is included.

Main lines, in order of rising 2θ (10 to 90 degrees two-theta):
| 2θ (°) | I_rel |
| --- | --- |
| 14.64 | 100 |
| 16.58 | 90 |
| 19.92 | 93 |
| 25.99 | 61 |
| 26.12 | 53 |
| 27.78 | 59 |
| 30.85 | 94 |
| 36.32 | 95 |
| 36.82 | 56 |
| 47.08 | 54 |

Atomic structure:
a b c (Å): 6.5873 8.0053 11.3122
angles (deg): 90.00 125.22 90.00
Fractional positions:
Sr 0.2195 0.1192 0.2617
Sr 0.2195 0.3808 0.7617
Sr 0.7805 0.6192 0.2383
Sr 0.7805 0.8808 0.7383
Ag 0.5000 0.0000 0.0000
Ag 0.5000 0.5000 0.5000
Cl 0.1191 0.1554 0.9432
Cl 0.1191 0.3446 0.4432
Cl 0.2687 0.6700 0.9391
Cl 0.2687 0.8300 0.4391
Cl 0.3740 0.0349 0.7485
Cl 0.3740 0.4651 0.2485
Cl 0.6260 0.5349 0.7515
Cl 0.6260 0.9651 0.2515
Cl 0.7313 0.1700 0.5609
Cl 0.7313 0.3300 0.0609
Cl 0.8809 0.6554 0.5568
Cl 0.8809 0.8446 0.0568

***

Entry 3:
Rb2CeGa2O6: theoretical PXRD pattern (Cu Kα, 1.54184 Å), based on the GGA-PBE geometry in Alexandria.
No peak broadening, texture or thermal motion is included.

Main lines, in order of rising 2θ (10 to 90 degrees two-theta):
| 2θ (°) | I_rel |
| --- | --- |
| 28.98 | 100 |
| 38.76 | 5 |
| 41.45 | 17 |
| 51.33 | 31 |
| 51.48 | 11 |
| 59.97 | 9 |
| 67.98 | 9 |
| 68.10 | 9 |
| 82.79 | 10 |
| 82.92 | 5 |

Atomic structure:
a b c (Å): 7.2138 7.2138 7.2138
angles (deg): 50.64 50.64 50.64
Fractional positions:
Rb 0.2061 0.2061 0.2061
Rb 0.7939 0.7939 0.7939
Ce 0.0000 0.0000 0.0000
Ga 0.4061 0.4061 0.4061
Ga 0.5939 0.5939 0.5939
O 0.2405 0.2405 0.7421
O 0.2405 0.7421 0.2405
O 0.2579 0.7595 0.7595
O 0.7421 0.2405 0.2405
O 0.7595 0.2579 0.7595
O 0.7595 0.7595 0.2579

***

Entry 4:
RhS: theoretical PXRD pattern (Cu Kα, 1.54184 Å), based on the GGA-PBE geometry in Alexandria.
No peak broadening, texture or thermal motion is included.

Main lines, in order of rising 2θ (10 to 90 degrees two-theta):
| 2θ (°) | I_rel |
| --- | --- |
| 21.01 | 78 |
| 23.92 | 70 |
| 30.75 | 60 |
| 31.03 | 62 |
| 33.99 | 75 |
| 42.78 | 61 |
| 46.23 | 46 |
| 50.61 | 43 |
| 52.35 | 100 |
| 53.18 | 43 |

Atomic structure:
a b c (Å): 11.3272 3.9394 4.5572
angles (deg): 90.00 90.00 90.00
Fractional positions:
Rh 0.0000 0.1178 0.0000
Rh 0.1946 0.3488 0.7030
Rh 0.3054 0.6512 0.2030
Rh 0.5000 0.8822 0.5000
Rh 0.6946 0.6512 0.2030
Rh 0.8054 0.3488 0.7030
S 0.0000 0.6103 0.7614
S 0.1806 0.1524 0.2239
S 0.3194 0.8476 0.7239
S 0.5000 0.3897 0.2614
S 0.6806 0.8476 0.7239
S 0.8194 0.1524 0.2239

***

Entry 5:
SrCaPbBr6: theoretical PXRD pattern (Cu Kα, 1.54184 Å), based on the GGA-PBE geometry in Alexandria.
No peak broadening, texture or thermal motion is included.

Main lines, in order of rising 2θ (10 to 90 degrees two-theta):
| 2θ (°) | I_rel |
| --- | --- |
| 14.11 | 33 |
| 17.77 | 92 |
| 26.42 | 92 |
| 28.28 | 33 |
| 34.52 | 100 |
| 35.99 | 43 |
| 39.36 | 27 |
| 43.24 | 70 |
| 54.39 | 25 |
| 75.46 | 27 |

Atomic structure:
a b c (Å): 7.0572 7.0572 13.7345
angles (deg): 90.00 90.00 90.00
Fractional positions:
Sr 0.0000 0.0000 0.0000
Sr 0.5000 0.5000 0.5000
Ca 0.0000 0.0000 0.6657
Ca 0.5000 0.5000 0.1657
Pb 0.0000 0.0000 0.3320
Pb 0.5000 0.5000 0.8320
Br 0.1921 0.1921 0.5055
Br 0.1931 0.1931 0.8260
Br 0.2045 0.2045 0.1665
Br 0.2955 0.7045 0.6665
Br 0.3069 0.6931 0.3260
Br 0.3079 0.6921 0.0055
Br 0.6921 0.3079 0.0055
Br 0.6931 0.3069 0.3260
Br 0.7045 0.2955 0.6665
Br 0.7955 0.7955 0.1665
Br 0.8069 0.8069 0.8260
Br 0.8079 0.8079 0.5055